# 1
BaLa3Mn4O12: computed powder diffractogram (Cu Kα), based on a PBE+U-relaxed structure.

Atomic structure:
```
data_BaLa3Mn4O12
_chemical_formula_sum 'Ba2 La6 Mn8 O24'
_cell_length_a 7.936
_cell_length_b 7.936
_cell_length_c 7.936
_cell_angle_alpha 90.41
_cell_angle_beta 90.41
_cell_angle_gamma 90.41
_space_group_name_H-M_alt 'P 1'
_space_group_IT_number 1
_space_group_name_Hall 'P 1'
loop_
_atom_site_label
_atom_site_type_symbol
_atom_site_fract_x
_atom_site_fract_y
_atom_site_fract_z
Ba1 Ba 0.250 0.250 0.250
Ba2 Ba 0.750 0.750 0.750
La1 La 0.246 0.750 0.254
La2 La 0.250 0.746 0.754
La3 La 0.254 0.246 0.750
La4 La 0.746 0.754 0.250
La5 La 0.750 0.254 0.246
La6 La 0.754 0.250 0.746
Mn1 Mn 0.000 0.000 0.000
Mn2 Mn 0.000 0.000 0.500
Mn3 Mn 0.000 0.500 0.000
Mn4 Mn 0.000 0.500 0.500
Mn5 Mn 0.500 0.000 0.000
Mn6 Mn 0.500 0.000 0.500
Mn7 Mn 0.500 0.500 0.000
Mn8 Mn 0.500 0.500 0.500
O1 O 0.013 0.250 0.487
O2 O 0.021 0.965 0.249
O3 O 0.027 0.473 0.750
O4 O 0.035 0.751 0.979
O5 O 0.249 0.021 0.965
O6 O 0.250 0.487 0.013
O7 O 0.250 0.973 0.527
O8 O 0.251 0.535 0.479
O9 O 0.465 0.521 0.749
O10 O 0.473 0.750 0.027
O11 O 0.479 0.251 0.535
O12 O 0.487 0.013 0.250
O13 O 0.513 0.987 0.750
O14 O 0.521 0.749 0.465
O15 O 0.527 0.250 0.973
O16 O 0.535 0.479 0.251
O17 O 0.749 0.465 0.521
O18 O 0.750 0.027 0.473
O19 O 0.750 0.513 0.987
O20 O 0.751 0.979 0.035
O21 O 0.965 0.249 0.021
O22 O 0.973 0.527 0.250
O23 O 0.979 0.035 0.751
O24 O 0.987 0.750 0.513
```

Top 12 peaks for 5° ≤ 2θ ≤ 70°, low angle first:
2θ (°), I/Imax
22.41, 30
31.78, 98
32.01, 100
39.23, 27
39.62, 10
45.73, 63
51.34, 8
56.61, 22
56.76, 40
57.21, 19
66.40, 17
66.94, 18

=====

# 2
BaSrCaCrO6: computed powder diffractogram (Cu Kα), based on a PBE+U-relaxed structure.

Atomic structure:
```
data_BaSrCaCrO6
_chemical_formula_sum 'Ba1 Sr1 Ca1 Cr1 O6'
_cell_length_a 5.827
_cell_length_b 5.827
_cell_length_c 5.827
_cell_angle_alpha 60.00
_cell_angle_beta 60.00
_cell_angle_gamma 60.00
_space_group_name_H-M_alt 'P 1'
_space_group_IT_number 1
_space_group_name_Hall 'P 1'
loop_
_atom_site_label
_atom_site_type_symbol
_atom_site_fract_x
_atom_site_fract_y
_atom_site_fract_z
Ba1 Ba 0.000 0.000 0.000
Sr1 Sr 0.500 0.500 0.500
Ca1 Ca 0.750 0.750 0.750
Cr1 Cr 0.250 0.250 0.250
O1 O 0.025 0.025 0.475
O2 O 0.025 0.475 0.025
O3 O 0.025 0.475 0.475
O4 O 0.475 0.025 0.025
O5 O 0.475 0.025 0.475
O6 O 0.475 0.475 0.025
```

Top 12 peaks for 5° ≤ 2θ ≤ 70°, low angle first:
2θ (°), I/Imax
18.65, 7
21.57, 10
30.69, 100
36.15, 3
37.82, 22
43.95, 36
48.13, 1
49.46, 7
54.55, 37
58.17, 2
63.90, 21
68.29, 4